1.
Starting from the PBE geometry in OQMD, the X-ray diffraction stick pattern of Ho4TlSi4Ni2 was simulated for Cu Kα.

Structure:
```
Ho4TlSi4Ni2
1.0
7.649 -2.079 0.000
7.649 2.079 0.000
-2.230 0.000 6.576
Ho Tl Si Ni
4 1 4 2
direct
0.090 0.090 0.387 Ho
0.156 0.156 0.938 Ho
0.844 0.844 0.062 Ho
0.910 0.910 0.613 Ho
0.500 0.500 0.000 Tl
0.290 0.290 0.715 Si
0.436 0.436 0.348 Si
0.564 0.564 0.652 Si
0.710 0.710 0.285 Si
0.286 0.286 0.356 Ni
0.714 0.714 0.644 Ni
```

Largest 6 diffraction maxima, by angle, 2θ = 10–90°:
2θ/deg  intensity
27.1  41
28.3  55
34.0  80
35.1  100
37.8  44
43.5  49

---

2.
Starting from the PBE geometry in OQMD, the X-ray diffraction stick pattern of SmHo2Ni4Sn4 was simulated for Cu Kα.

Structure:
```
SmHo2Ni4Sn4
1.0
-2.186 3.539 7.113
2.186 -3.539 7.113
2.186 3.539 -7.113
Sm Ho Ni Sn
1 2 4 4
direct
0.000 0.000 0.000 Sm
0.369 0.869 0.500 Ho
0.631 0.131 0.500 Ho
0.013 0.321 0.692 Ni
0.371 0.679 0.692 Ni
0.629 0.321 0.308 Ni
0.987 0.679 0.308 Ni
0.218 0.218 0.000 Sn
0.299 0.500 0.799 Sn
0.701 0.500 0.201 Sn
0.782 0.782 0.000 Sn
```

Largest 6 diffraction maxima, by angle, 2θ = 10–90°:
2θ/deg  intensity
33.2  100
34.0  27
34.9  95
41.3  42
42.8  24
45.9  23

---

3.
Starting from the PBE geometry in OQMD, the X-ray diffraction stick pattern of HoNiSn was simulated for Cu Kα.

Structure:
```
HoNiSn
1.0
7.243 0.000 0.000
-3.621 6.272 0.000
0.000 0.000 3.919
Ho Ni Sn
3 3 3
direct
0.000 0.590 0.000 Ho
0.410 0.410 0.000 Ho
0.590 0.000 0.000 Ho
0.000 0.000 0.000 Ni
0.333 0.667 0.500 Ni
0.667 0.333 0.500 Ni
0.000 0.256 0.500 Sn
0.256 0.000 0.500 Sn
0.744 0.744 0.500 Sn
```

Largest 6 diffraction maxima, by angle, 2θ = 10–90°:
2θ/deg  intensity
33.7  100
36.7  70
38.0  49
58.0  22
61.4  24
69.6  24

---

4.
Starting from the PBE geometry in OQMD, the X-ray diffraction stick pattern of Ho4Tm3Ni2Te2 was simulated for Cu Kα.

Structure:
```
Ho4Tm3Ni2Te2
1.0
-1.916 7.761 4.753
1.916 -7.761 4.753
1.916 7.761 -4.753
Ho Tm Ni Te
4 3 2 2
direct
0.133 0.000 0.133 Ho
0.501 0.147 0.354 Ho
0.794 0.147 0.646 Ho
0.867 0.000 0.867 Ho
0.111 0.796 0.315 Tm
0.417 0.417 0.000 Tm
0.481 0.796 0.685 Tm
0.252 0.489 0.763 Ni
0.726 0.489 0.237 Ni
0.153 0.653 0.500 Te
0.754 0.754 0.000 Te
```

Largest 6 diffraction maxima, by angle, 2θ = 10–90°:
2θ/deg  intensity
30.5  52
33.2  80
34.2  100
34.7  75
47.5  30
59.1  31

---

5.
Starting from the PBE geometry in OQMD, the X-ray diffraction stick pattern of HoTmNi2 was simulated for Cu Kα.

Structure:
```
HoTmNi2
1.0
4.141 0.000 0.000
0.000 5.378 0.000
0.000 0.000 6.989
Ho Tm Ni
2 2 4
direct
0.000 0.120 0.000 Ho
0.000 0.880 0.500 Ho
0.500 0.381 0.360 Tm
0.500 0.619 0.860 Tm
0.000 0.375 0.642 Ni
0.000 0.625 0.142 Ni
0.500 0.125 0.717 Ni
0.500 0.875 0.217 Ni
```

Largest 6 diffraction maxima, by angle, 2θ = 10–90°:
2θ/deg  intensity
30.1  89
33.6  100
35.8  92
37.6  82
42.1  77
43.7  51

---

6.
Starting from the PBE geometry in OQMD, the X-ray diffraction stick pattern of HoNp was simulated for Cu Kα.

Structure:
```
HoNp
1.0
3.322 0.000 0.000
-1.661 2.877 0.000
0.000 0.000 5.717
Ho Np
1 1
direct
0.000 0.000 0.000 Ho
0.667 0.333 0.500 Np
```

Largest 6 diffraction maxima, by angle, 2θ = 10–90°:
2θ/deg  intensity
31.1  24
31.3  29
34.9  100
44.7  18
58.1  24
64.9  22